Structure and theoretical powder XRD pattern of Mn3Te4 (DFT lattice parameters and positions (PBE); Cu Ka).
Neutral-atom scattering factors, no anomalous dispersion.

Principal peaks in the range 10° ≤ 2θ ≤ 80°, in order of rising 2θ:
- 26.54 deg, I 90
- 30.74 deg, I 97
- 44.03 deg, I 100
- 52.15 deg, I 38
- 54.66 deg, I 23
- 72.69 deg, I 26

Crystal structure
```
14
Lattice="0.000 5.817 5.817 5.817 0.000 5.817 5.817 5.817 0.000" Properties=species:S:1:pos:R:3 pbc="T T T"
Mn 0.000 0.000 0.000
Mn 2.909 2.909 0.000
Mn 2.909 0.000 2.909
Mn 4.363 4.363 4.363
Mn 0.000 2.909 2.909
Mn 7.271 7.271 7.271
Te 8.825 5.718 5.718
Te 2.809 2.809 2.809
Te 5.917 5.917 2.809
Te 5.917 2.809 5.917
Te 5.718 8.825 5.718
Te 5.718 5.718 8.825
Te 8.825 8.825 8.825
Te 2.809 5.917 5.917
```